Entry 1:
For ZnSnAs2O7, DFT lattice parameters and positions (PBE) gives the theoretical X-ray powder pattern in this record (CuKα).
Peak positions follow from Bragg's law for the DFT cell and can differ from measured ones.

Structural model:
Cell lengths 7.530, 9.468, 10.122 Å; angles 90.00, 120.38, 90.00 degrees
Sites, in units of the cell vectors:
Zn: 0.238 0.054 0.091
Zn: 0.238 0.446 0.591
Zn: 0.762 0.554 0.409
Zn: 0.762 0.946 0.909
Sn: 0.264 0.037 0.625
Sn: 0.264 0.463 0.125
Sn: 0.736 0.537 0.875
Sn: 0.736 0.963 0.375
As: 0.071 0.716 0.745
As: 0.071 0.784 0.245
As: 0.476 0.245 0.432
As: 0.476 0.255 0.932
As: 0.524 0.745 0.068
As: 0.524 0.755 0.568
As: 0.929 0.216 0.755
As: 0.929 0.284 0.255
O: 0.043 0.592 0.609
O: 0.043 0.908 0.109
O: 0.126 0.619 0.214
O: 0.126 0.881 0.714
O: 0.136 0.209 0.727
O: 0.136 0.291 0.227
O: 0.275 0.665 0.929
O: 0.275 0.835 0.429
O: 0.370 0.229 0.044
O: 0.370 0.271 0.544
O: 0.431 0.097 0.318
O: 0.431 0.403 0.818
O: 0.469 0.602 0.637
O: 0.469 0.898 0.137
O: 0.531 0.102 0.863
O: 0.531 0.398 0.363
O: 0.569 0.597 0.182
O: 0.569 0.903 0.682
O: 0.630 0.729 0.456
O: 0.630 0.771 0.956
O: 0.725 0.165 0.571
O: 0.725 0.335 0.071
O: 0.864 0.709 0.773
O: 0.864 0.791 0.273
O: 0.874 0.119 0.286
O: 0.874 0.381 0.786
O: 0.957 0.092 0.891
O: 0.957 0.408 0.391

Top 10 peaks for 10° ≤ 2θ ≤ 90°, low angle first:
26.0 deg, rel. 100.0
26.3 deg, rel. 32.2
29.9 deg, rel. 38.5
31.5 deg, rel. 9.8
33.5 deg, rel. 36.5
35.1 deg, rel. 9.0
36.2 deg, rel. 9.5
45.8 deg, rel. 12.9
49.1 deg, rel. 9.0
50.8 deg, rel. 17.5

Entry 2:
For Zr2Sn, DFT lattice parameters and positions (PBE) gives the theoretical X-ray powder pattern in this record (CuKα).
Peak positions follow from Bragg's law for the DFT cell and can differ from measured ones.

Structural model:
Cell lengths 5.345, 9.689, 5.345 Å; angles 90.00, 90.00, 90.00 degrees
Sites, in units of the cell vectors:
Zr: 0.250 0.073 0.085
Zr: 0.250 0.250 0.590
Zr: 0.250 0.427 0.085
Zr: 0.250 0.750 0.045
Zr: 0.750 0.250 0.955
Zr: 0.750 0.573 0.915
Zr: 0.750 0.750 0.410
Zr: 0.750 0.927 0.915
Sn: 0.250 0.581 0.570
Sn: 0.250 0.919 0.570
Sn: 0.750 0.081 0.430
Sn: 0.750 0.419 0.430

Top 10 peaks for 10° ≤ 2θ ≤ 90°, low angle first:
32.4 deg, rel. 18.3
33.5 deg, rel. 54.6
36.6 deg, rel. 100.0
37.6 deg, rel. 37.1
47.3 deg, rel. 12.2
59.2 deg, rel. 14.1
62.0 deg, rel. 22.1
67.8 deg, rel. 13.4
69.8 deg, rel. 17.1
70.4 deg, rel. 11.2

Entry 3:
For TiCd4N4, DFT lattice parameters and positions (PBE) gives the theoretical X-ray powder pattern in this record (CuKα).
Peak positions follow from Bragg's law for the DFT cell and can differ from measured ones.

Structural model:
Cell lengths 5.841, 5.896, 8.821 Å; angles 81.77, 72.09, 69.70 degrees
Sites, in units of the cell vectors:
Ti: 0.115 0.214 0.233
Ti: 0.885 0.786 0.767
Cd: 0.021 0.754 0.410
Cd: 0.263 0.740 0.996
Cd: 0.326 0.223 0.812
Cd: 0.449 0.749 0.581
Cd: 0.551 0.251 0.419
Cd: 0.674 0.777 0.188
Cd: 0.737 0.260 0.004
Cd: 0.979 0.246 0.590
N: 0.042 0.003 0.811
N: 0.169 0.534 0.625
N: 0.309 0.339 0.042
N: 0.332 0.031 0.368
N: 0.668 0.969 0.632
N: 0.691 0.661 0.958
N: 0.831 0.466 0.375
N: 0.958 0.997 0.189

Top 10 peaks for 10° ≤ 2θ ≤ 90°, low angle first:
32.4 deg, rel. 100.0
32.6 deg, rel. 41.6
32.7 deg, rel. 49.7
37.0 deg, rel. 43.3
37.3 deg, rel. 40.1
38.9 deg, rel. 38.7
53.3 deg, rel. 15.0
54.8 deg, rel. 24.6
55.2 deg, rel. 14.3
63.7 deg, rel. 13.2

Entry 4:
For PtCl2, DFT lattice parameters and positions (PBE) gives the theoretical X-ray powder pattern in this record (CuKα).
Peak positions follow from Bragg's law for the DFT cell and can differ from measured ones.

Structural model:
Cell lengths 9.181, 9.181, 9.898 Å; angles 94.37, 94.37, 123.32 degrees
Sites, in units of the cell vectors:
Pt: 0.012 0.012 0.127
Pt: 0.370 0.533 0.616
Pt: 0.467 0.630 0.384
Pt: 0.533 0.370 0.616
Pt: 0.630 0.467 0.384
Pt: 0.988 0.988 0.873
Cl: 0.084 0.389 0.555
Cl: 0.114 0.850 0.167
Cl: 0.150 0.886 0.833
Cl: 0.269 0.731 0.000
Cl: 0.337 0.337 0.286
Cl: 0.389 0.084 0.555
Cl: 0.611 0.916 0.445
Cl: 0.663 0.663 0.714
Cl: 0.731 0.269 0.000
Cl: 0.850 0.114 0.167
Cl: 0.886 0.150 0.833
Cl: 0.916 0.611 0.445

Top 10 peaks for 10° ≤ 2θ ≤ 90°, low angle first:
10.9 deg, rel. 73.2
13.7 deg, rel. 86.6
15.8 deg, rel. 100.0
20.6 deg, rel. 38.5
23.4 deg, rel. 20.9
23.8 deg, rel. 19.5
28.2 deg, rel. 36.4
29.5 deg, rel. 20.4
39.3 deg, rel. 15.9
40.4 deg, rel. 20.0

Entry 5:
For UTe6O6F30, DFT lattice parameters and positions (PBE) gives the theoretical X-ray powder pattern in this record (CuKα).
Peak positions follow from Bragg's law for the DFT cell and can differ from measured ones.

Structural model:
Cell lengths 10.023, 10.023, 10.367 Å; angles 102.74, 102.74, 116.29 degrees
Sites, in units of the cell vectors:
U: 0.000 0.000 0.000
Te: 0.079 0.403 0.265
Te: 0.235 0.235 0.786
Te: 0.403 0.079 0.265
Te: 0.597 0.921 0.735
Te: 0.765 0.765 0.214
Te: 0.921 0.597 0.735
O: 0.046 0.217 0.128
O: 0.107 0.107 0.873
O: 0.217 0.046 0.128
O: 0.783 0.954 0.872
O: 0.893 0.893 0.127
O: 0.954 0.783 0.872
F: 0.040 0.481 0.122
F: 0.053 0.209 0.658
F: 0.111 0.583 0.398
F: 0.120 0.328 0.410
F: 0.138 0.702 0.763
F: 0.209 0.053 0.658
F: 0.264 0.419 0.913
F: 0.297 0.510 0.294
F: 0.298 0.862 0.237
F: 0.328 0.120 0.410
F: 0.360 0.360 0.702
F: 0.417 0.889 0.602
F: 0.419 0.264 0.913
F: 0.481 0.040 0.122
F: 0.490 0.703 0.706
F: 0.510 0.297 0.294
F: 0.519 0.960 0.878
F: 0.581 0.736 0.087
F: 0.583 0.111 0.398
F: 0.640 0.640 0.298
F: 0.672 0.880 0.590
F: 0.702 0.138 0.763
F: 0.703 0.490 0.706
F: 0.736 0.581 0.087
F: 0.791 0.947 0.342
F: 0.862 0.298 0.237
F: 0.880 0.672 0.590
F: 0.889 0.417 0.602
F: 0.947 0.791 0.342
F: 0.960 0.519 0.878

Top 10 peaks for 10° ≤ 2θ ≤ 90°, low angle first:
10.6 deg, rel. 32.7
11.3 deg, rel. 22.8
14.0 deg, rel. 24.6
18.5 deg, rel. 28.5
18.6 deg, rel. 52.3
20.1 deg, rel. 52.5
22.2 deg, rel. 100.0
29.9 deg, rel. 25.4
30.4 deg, rel. 24.4
45.3 deg, rel. 23.4

Repeat the first record exactly.
For ZnSnAs2O7, DFT lattice parameters and positions (PBE) gives the theoretical X-ray powder pattern in this record (CuKα).
Peak positions follow from Bragg's law for the DFT cell and can differ from measured ones.

Structural model:
Cell lengths 7.530, 9.468, 10.122 Å; angles 90.00, 120.38, 90.00 degrees
Sites, in units of the cell vectors:
Zn: 0.238 0.054 0.091
Zn: 0.238 0.446 0.591
Zn: 0.762 0.554 0.409
Zn: 0.762 0.946 0.909
Sn: 0.264 0.037 0.625
Sn: 0.264 0.463 0.125
Sn: 0.736 0.537 0.875
Sn: 0.736 0.963 0.375
As: 0.071 0.716 0.745
As: 0.071 0.784 0.245
As: 0.476 0.245 0.432
As: 0.476 0.255 0.932
As: 0.524 0.745 0.068
As: 0.524 0.755 0.568
As: 0.929 0.216 0.755
As: 0.929 0.284 0.255
O: 0.043 0.592 0.609
O: 0.043 0.908 0.109
O: 0.126 0.619 0.214
O: 0.126 0.881 0.714
O: 0.136 0.209 0.727
O: 0.136 0.291 0.227
O: 0.275 0.665 0.929
O: 0.275 0.835 0.429
O: 0.370 0.229 0.044
O: 0.370 0.271 0.544
O: 0.431 0.097 0.318
O: 0.431 0.403 0.818
O: 0.469 0.602 0.637
O: 0.469 0.898 0.137
O: 0.531 0.102 0.863
O: 0.531 0.398 0.363
O: 0.569 0.597 0.182
O: 0.569 0.903 0.682
O: 0.630 0.729 0.456
O: 0.630 0.771 0.956
O: 0.725 0.165 0.571
O: 0.725 0.335 0.071
O: 0.864 0.709 0.773
O: 0.864 0.791 0.273
O: 0.874 0.119 0.286
O: 0.874 0.381 0.786
O: 0.957 0.092 0.891
O: 0.957 0.408 0.391

Top 10 peaks for 10° ≤ 2θ ≤ 90°, low angle first:
26.0 deg, rel. 100.0
26.3 deg, rel. 32.2
29.9 deg, rel. 38.5
31.5 deg, rel. 9.8
33.5 deg, rel. 36.5
35.1 deg, rel. 9.0
36.2 deg, rel. 9.5
45.8 deg, rel. 12.9
49.1 deg, rel. 9.0
50.8 deg, rel. 17.5